Entry 1:
The following is a theoretical X-ray powder pattern of Cr12BP3. It was derived from DFT lattice parameters and positions (PBE), using Cu Ka.
Neutral-atom scattering factors, no anomalous dispersion.

```
Cr12BP3
1.0
4.4624 0.0000 0.0000
2.1660 6.3264 0.0000
2.1917 -0.1826 6.3807
Cr B P
12 1 3
Cartesian
0.0000 0.0000 0.0000 Cr
1.1836 1.4882 1.8346 Cr
2.1878 1.2973 4.2530 Cr
3.2947 3.6508 4.7266 Cr
3.3253 5.0725 2.4402 Cr
3.2770 2.8159 2.0580 Cr
4.4168 1.6940 6.1180 Cr
5.4133 4.1316 6.0453 Cr
3.4451 -0.0088 2.5845 Cr
6.6519 5.8891 4.6204 Cr
5.5786 3.7842 3.3654 Cr
5.6009 4.0923 1.1019 Cr
4.4604 5.4290 4.3175 B
4.4242 6.0649 0.6202 P
4.4361 1.7806 3.7867 P
4.4402 2.4008 0.0221 P
```

Top 6 peaks for 15° ≤ 2θ ≤ 90°, by intensity:
index	d_spacing	two_theta	intensity
0 3 0	2.110	42.9	100.0
1 -1 3	1.982	45.8	85.5
1 1 3	2.168	41.7	81.6
1 -2 1	2.187	41.3	44.7
-1 2 1	1.944	46.7	41.6
0 1 3	1.999	45.4	41.1

Entry 2:
The following is a theoretical X-ray powder pattern of PrCrB4. It was derived from DFT lattice parameters and positions (PBE), using Cu Ka.
Neutral-atom scattering factors, no anomalous dispersion.

```
PrCrB4
1.0
6.0565 0.0000 0.0000
0.0000 11.7159 0.0000
0.0000 0.0000 3.5708
Pr Cr B
4 4 16
Cartesian
0.7488 1.7754 0.0000 Pr
2.2795 7.6334 0.0000 Pr
3.7770 4.0826 0.0000 Pr
5.3077 9.9405 0.0000 Pr
0.7213 4.9523 0.0000 Cr
2.3069 10.8103 0.0000 Cr
3.7495 0.9057 0.0000 Cr
5.3352 6.7636 0.0000 Cr
0.1347 8.0594 1.7854 B
0.6711 6.3905 1.7854 B
0.8593 11.3309 1.7854 B
1.3595 9.5988 1.7854 B
1.6687 3.7409 1.7854 B
2.1689 5.4729 1.7854 B
2.3572 0.5325 1.7854 B
2.8936 2.2015 1.7854 B
3.1629 9.5144 1.7854 B
3.6993 11.1834 1.7854 B
3.8876 6.2430 1.7854 B
4.3878 7.9751 1.7854 B
4.6969 2.1171 1.7854 B
5.1972 0.3850 1.7854 B
5.3854 5.3254 1.7854 B
5.9218 3.6565 1.7854 B
```

Top 6 peaks for 15° ≤ 2θ ≤ 90°, by intensity:
index	d_spacing	two_theta	intensity
2 1 1	2.266	39.8	100.0
2 1 0	2.931	30.5	82.0
0 0 1	3.571	24.9	69.6
1 3 1	2.416	37.2	44.3
1 3 0	3.282	27.2	39.5
1 4 1	2.121	42.6	26.8

Entry 3:
The following is a theoretical X-ray powder pattern of CrRe3B4. It was derived from DFT lattice parameters and positions (PBE), using Cu Ka.
Neutral-atom scattering factors, no anomalous dispersion.

```
CrRe3B4
1.0
2.9904 0.0000 0.0000
0.0000 3.0285 0.0000
0.0000 0.0000 17.3763
Cr Re B
2 6 8
Cartesian
0.0000 0.0000 0.0000 Cr
1.4952 1.5142 8.6881 Cr
0.0000 0.0000 6.9038 Re
0.0000 1.5142 4.3362 Re
0.0000 1.5142 11.0167 Re
1.4952 0.0000 2.3286 Re
1.4952 0.0000 13.0244 Re
1.4952 1.5142 15.5919 Re
0.0000 0.0000 9.2362 B
0.0000 0.0000 14.8370 B
0.0000 1.5142 1.5852 B
0.0000 1.5142 13.7569 B
1.4952 0.0000 5.0687 B
1.4952 0.0000 10.2734 B
1.4952 1.5142 0.5480 B
1.4952 1.5142 6.1489 B
```

Top 6 peaks for 15° ≤ 2θ ≤ 90°, by intensity:
index	d_spacing	two_theta	intensity
1 1 2	2.067	43.8	100.0
0 1 3	2.684	33.4	87.0
1 0 5	2.267	39.8	59.5
0 1 5	2.283	39.5	42.4
1 1 10	1.346	69.9	37.0
1 0 1	2.947	30.3	36.8

Entry 4:
The following is a theoretical X-ray powder pattern of CrRe13B6. It was derived from DFT lattice parameters and positions (PBE), using Cu Ka.
Neutral-atom scattering factors, no anomalous dispersion.

```
CrRe13B6
1.0
7.5059 0.0000 0.0000
-3.7529 6.5003 0.0000
0.0000 0.0000 4.9267
Cr Re B
1 13 6
Cartesian
0.0000 0.0000 0.0000 Cr
0.0000 1.5528 2.6760 Re
-2.4082 5.7239 2.6760 Re
0.0000 2.7350 0.2162 Re
-1.3844 5.1328 0.2162 Re
0.0000 4.3335 2.4659 Re
2.3617 1.3635 4.1495 Re
3.7529 0.5733 1.6857 Re
2.3730 2.9635 1.6857 Re
1.3844 5.1328 0.2162 Re
2.4082 5.7239 2.6760 Re
5.1442 1.3635 4.1495 Re
3.7529 3.7732 4.1495 Re
5.1329 2.9635 1.6857 Re
-1.6118 3.4029 3.7076 B
1.5865 0.9159 1.2037 B
1.6118 3.4029 3.7076 B
0.0000 6.1947 3.7076 B
5.9194 0.9159 1.2037 B
3.7529 4.6684 1.2037 B
```

Top 6 peaks for 15° ≤ 2θ ≤ 90°, by intensity:
index	d_spacing	two_theta	intensity
2 1 1	2.199	41.1	100.0
1 0 2	2.303	39.1	45.0
0 3 1	1.983	45.7	37.6
0 0 2	2.458	36.6	37.4
2 0 2	1.963	46.2	30.3
2 0 1	2.713	33.0	27.4

Entry 5:
The following is a theoretical X-ray powder pattern of CrRe5B2. It was derived from DFT lattice parameters and positions (PBE), using Cu Ka.
Neutral-atom scattering factors, no anomalous dispersion.

```
CrRe5B2
1.0
7.2122 0.0000 0.0000
0.0000 2.9094 0.0000
0.0000 0.0000 9.3324
Cr Re B
2 10 4
Cartesian
0.0000 0.0000 0.0000 Cr
0.0000 1.4547 4.6662 Cr
1.3135 0.0000 6.5962 Re
1.3135 1.4547 1.9300 Re
2.1946 0.0000 4.0872 Re
2.1946 1.4547 8.7534 Re
3.6061 0.0000 1.3781 Re
3.6061 1.4547 6.0443 Re
5.0176 0.0000 4.0872 Re
5.0176 1.4547 8.7534 Re
5.8987 0.0000 6.5962 Re
5.8987 1.4547 1.9300 Re
0.0000 0.0000 3.0806 B
0.0000 1.4547 7.7468 B
3.6061 0.0000 7.7614 B
3.6061 1.4547 3.0952 B
```

Top 6 peaks for 15° ≤ 2θ ≤ 90°, by intensity:
index	d_spacing	two_theta	intensity
3 0 2	2.137	42.3	100.0
2 1 1	2.200	41.0	94.1
0 1 3	2.125	42.5	57.7
0 0 4	2.333	38.6	53.8
1 1 1	2.592	34.6	50.4
1 1 3	2.038	44.4	38.9

Entry 6:
The following is a theoretical X-ray powder pattern of Cr3B12Rh25. It was derived from DFT lattice parameters and positions (PBE), using Cu Ka.
Neutral-atom scattering factors, no anomalous dispersion.

```
Cr3B12Rh25
1.0
4.8235 0.0000 0.0000
-0.0007 7.5221 0.0000
-0.0209 -0.0113 12.9847
Cr B Rh
3 12 25
Cartesian
0.0000 0.0000 0.0000 Cr
-0.0151 1.3343 10.6499 Cr
0.0078 3.7032 6.5555 Cr
1.0757 2.0822 8.3201 B
1.0920 1.5782 1.8114 B
1.0845 5.3219 8.3020 B
1.0940 5.8474 1.8065 B
1.0903 7.4705 4.6252 B
1.0854 3.6923 11.1097 B
3.4435 2.0276 5.8605 B
3.4391 1.6290 12.3669 B
3.4391 5.7902 12.3617 B
3.4542 5.4027 5.8634 B
3.4481 7.4576 9.5006 B
3.4971 3.7170 3.0334 B
1.4571 2.2468 12.7357 Rh
1.5027 7.4815 8.7113 Rh
1.5182 1.3731 6.2982 Rh
1.5071 5.1195 12.7583 Rh
1.5228 6.0463 6.2907 Rh
1.5791 3.7084 2.1765 Rh
2.3021 1.3443 3.5398 Rh
2.3012 6.0880 3.5348 Rh
2.3003 5.0925 10.0435 Rh
2.3548 3.7143 4.9257 Rh
2.3546 7.4890 11.4086 Rh
2.3745 7.4758 1.0923 Rh
2.3666 2.2662 10.0679 Rh
2.3688 3.6922 7.6103 Rh
3.9600 1.3734 7.9307 Rh
3.9784 2.2651 1.3892 Rh
3.9696 6.0224 7.8731 Rh
3.9721 3.6635 11.9454 Rh
3.9929 5.1620 1.3669 Rh
3.9897 7.4863 5.4876 Rh
4.6990 2.3536 4.2006 Rh
4.7050 5.0706 4.1939 Rh
4.6990 6.1997 10.6858 Rh
4.8015 7.4750 2.7282 Rh
4.8017 3.6829 9.2542 Rh
```

Top 6 peaks for 15° ≤ 2θ ≤ 90°, by intensity:
index	d_spacing	two_theta	intensity
-1 3 1	2.191	41.2	100.0
2 0 -2	2.261	39.9	42.7
1 2 4	2.187	41.3	30.8
1 0 -4	2.697	33.2	29.2
0 2 -4	2.459	36.5	22.5
3 0 -6	1.292	73.3	18.7

Entry 7:
The following is a theoretical X-ray powder pattern of Sc2CrB2Rh5. It was derived from DFT lattice parameters and positions (PBE), using Cu Ka.
Neutral-atom scattering factors, no anomalous dispersion.

```
Sc2CrB2Rh5
1.0
9.3828 0.0000 0.0000
0.0000 9.3828 0.0000
0.0000 0.0000 3.0760
Sc Cr B Rh
4 2 4 10
Cartesian
1.6502 3.0412 0.0000 Sc
3.0412 7.7325 0.0000 Sc
6.3416 1.6502 0.0000 Sc
7.7325 6.3416 0.0000 Sc
0.0000 0.0000 0.0000 Cr
4.6914 4.6914 0.0000 Cr
1.1509 5.8423 0.0000 B
3.5405 1.1509 0.0000 B
5.8423 8.2319 0.0000 B
8.2319 3.5405 0.0000 B
0.0000 4.6914 1.5380 Rh
0.6631 7.3318 1.5380 Rh
2.0510 0.6631 1.5380 Rh
2.6404 5.3545 1.5380 Rh
4.0283 2.6404 1.5380 Rh
4.6914 0.0000 1.5380 Rh
5.3545 6.7424 1.5380 Rh
6.7424 4.0283 1.5380 Rh
7.3318 8.7197 1.5380 Rh
8.7197 2.0510 1.5380 Rh
```

Top 6 peaks for 15° ≤ 2θ ≤ 90°, by intensity:
index	d_spacing	two_theta	intensity
3 1 1	2.136	42.3	100.0
4 1 0	2.276	39.6	78.7
2 1 1	2.481	36.2	54.8
0 0 1	3.076	29.0	52.3
3 2 1	1.987	45.7	49.8
4 2 0	2.098	43.1	49.1

Entry 8:
The following is a theoretical X-ray powder pattern of CrB2Ru. It was derived from DFT lattice parameters and positions (PBE), using Cu Ka.
Neutral-atom scattering factors, no anomalous dispersion.

```
CrB2Ru
1.0
2.9117 0.0000 0.0000
0.0000 4.3142 0.0000
0.0000 0.0000 5.8520
Cr B Ru
2 4 2
Cartesian
0.0000 0.5515 0.0000 Cr
0.0000 3.7627 2.9260 Cr
0.0000 1.5068 2.0246 B
0.0000 2.8074 4.9506 B
1.4559 0.5726 1.6550 B
1.4559 3.7416 4.5810 B
1.4559 1.5673 3.7370 Ru
1.4559 2.7469 0.8111 Ru
```

Top 6 peaks for 15° ≤ 2θ ≤ 90°, by intensity:
index	d_spacing	two_theta	intensity
1 1 1	2.231	40.4	100.0
0 2 1	2.024	44.8	70.7
1 0 2	2.064	43.9	60.0
1 1 0	2.413	37.3	51.7
0 0 2	2.926	30.6	43.7
0 1 1	3.473	25.7	38.8